Starting from a crystal structure in OQMD, relaxed with GGA-PBE, the PXRD pattern of BaNiGe was calculated for Cu Kα (weighted mean of Kα1 and Kα2).
Kinematic intensities with the Lorentz-polarization factor, no thermal factor.

Largest 10 diffraction maxima, in order of rising 2θ, 2θ from 10° to 90°:
d_spacing, I (rel.), hkl
3.151, 49.1, 1 1 1
3.066, 36.5, 2 0 -2
3.012, 54.5, 0 1 2
2.978, 34.1, 0 2 1
2.918, 100.0, 1 2 -1
2.783, 34.1, 2 1 -2
2.632, 60.7, 2 1 0
2.433, 69.0, 1 2 1
2.405, 58.1, 1 1 -3
1.590, 33.5, 3 1 1

Structural model:
Cell lengths 6.612, 6.635, 7.797 Å; angles 90.00, 119.87, 90.00 degrees
Atoms (fractional coordinates):
Ba (0.188, 0.138, 0.391)
Ba (0.188, 0.362, 0.891)
Ba (0.812, 0.638, 0.109)
Ba (0.812, 0.862, 0.609)
Ni (0.401, 0.602, 0.335)
Ni (0.401, 0.898, 0.835)
Ni (0.599, 0.102, 0.165)
Ni (0.599, 0.398, 0.665)
Ge (0.315, 0.650, 0.593)
Ge (0.315, 0.850, 0.093)
Ge (0.685, 0.150, 0.907)
Ge (0.685, 0.350, 0.407)


Starting from a crystal structure in OQMD, relaxed with GGA-PBE, the PXRD pattern of CdTePbO was calculated for Cu Kα (weighted mean of Kα1 and Kα2).
Kinematic intensities with the Lorentz-polarization factor, no thermal factor.

Largest 10 diffraction maxima, in order of rising 2θ, 2θ from 10° to 90°:
d_spacing, I (rel.), hkl
4.334, 25.3, 1 1 1
4.301, 34.4, 0 0 2
3.292, 76.8, 1 2 0
3.265, 100.0, 1 1 2
3.126, 28.0, 2 0 1
2.838, 39.3, 0 2 2
2.646, 68.6, 2 0 2
2.614, 69.1, 1 2 2
2.509, 34.7, 2 2 0
1.878, 22.0, 3 2 1

Structural model:
Cell lengths 6.712, 7.555, 8.602 Å; angles 90.00, 90.00, 90.00 degrees
Atoms (fractional coordinates):
Cd (0.017, 0.189, 0.063)
Cd (0.483, 0.811, 0.563)
Cd (0.517, 0.311, 0.937)
Cd (0.983, 0.689, 0.437)
Te (0.240, 0.976, 0.273)
Te (0.260, 0.024, 0.773)
Te (0.740, 0.524, 0.727)
Te (0.760, 0.476, 0.227)
Pb (0.061, 0.649, 0.978)
Pb (0.439, 0.351, 0.478)
Pb (0.561, 0.851, 0.022)
Pb (0.939, 0.149, 0.522)
O (0.226, 0.406, 0.006)
O (0.274, 0.594, 0.506)
O (0.726, 0.094, 0.994)
O (0.774, 0.906, 0.494)


What did the second record say?
Starting from a crystal structure in OQMD, relaxed with GGA-PBE, the PXRD pattern of CdTePbO was calculated for Cu Kα (weighted mean of Kα1 and Kα2).
Kinematic intensities with the Lorentz-polarization factor, no thermal factor.

Largest 10 diffraction maxima, in order of rising 2θ, 2θ from 10° to 90°:
d_spacing, I (rel.), hkl
4.334, 25.3, 1 1 1
4.301, 34.4, 0 0 2
3.292, 76.8, 1 2 0
3.265, 100.0, 1 1 2
3.126, 28.0, 2 0 1
2.838, 39.3, 0 2 2
2.646, 68.6, 2 0 2
2.614, 69.1, 1 2 2
2.509, 34.7, 2 2 0
1.878, 22.0, 3 2 1

Structural model:
Cell lengths 6.712, 7.555, 8.602 Å; angles 90.00, 90.00, 90.00 degrees
Atoms (fractional coordinates):
Cd (0.017, 0.189, 0.063)
Cd (0.483, 0.811, 0.563)
Cd (0.517, 0.311, 0.937)
Cd (0.983, 0.689, 0.437)
Te (0.240, 0.976, 0.273)
Te (0.260, 0.024, 0.773)
Te (0.740, 0.524, 0.727)
Te (0.760, 0.476, 0.227)
Pb (0.061, 0.649, 0.978)
Pb (0.439, 0.351, 0.478)
Pb (0.561, 0.851, 0.022)
Pb (0.939, 0.149, 0.522)
O (0.226, 0.406, 0.006)
O (0.274, 0.594, 0.506)
O (0.726, 0.094, 0.994)
O (0.774, 0.906, 0.494)


Q: Which formula does entry 2 have?
A: CdTePbO